Diffraction record for TcBrCl4. The PXRD pattern is theoretical, not measured: it uses the GGA-PBE geometry in Alexandria and Cu Kα (weighted mean of Kα1 and Kα2).
Peak positions follow from Bragg's law for the DFT cell and can differ from measured ones.

Peak list (10 most intense, 2θ from 5° to 70°, most intense first)
| 2theta | I/Imax | hkl |
| --- | --- | --- |
| 14.97 | 100 | 0 0 1 |
| 16.96 | 58 | 0 1 -1 |
| 32.72 | 30 | -1 2 1 |
| 16.53 | 24 | 1 0 0 |
| 16.40 | 21 | 1 0 -1 |
| 16.74 | 20 | 1 -1 0 |
| 20.96 | 19 | -1 1 1 |
| 38.08 | 16 | 2 -1 1 |
| 34.30 | 14 | 0 2 -2 |
| 37.30 | 12 | 2 1 -1 |

Atomic structure:
```
data_TcBrCl4
_symmetry_space_group_name_H-M 'P 1'
_symmetry_Int_Tables_number 1
_cell_length_a 6.407
_cell_length_b 6.732
_cell_length_c 6.790
_cell_angle_alpha 101.37
_cell_angle_beta 111.36
_cell_angle_gamma 109.15
loop_
_symmetry_equiv_pos_as_xyz
'x,y,z'
loop_
_atom_site_label
_atom_site_fract_x
_atom_site_fract_y
_atom_site_fract_z
Tc1 0.000 0.000 0.000
Br1 0.562 0.846 0.851
Cl1 0.045 0.289 0.284
Cl2 0.186 0.247 0.874
Cl3 0.212 0.887 0.255
Cl4 0.954 0.708 0.712
```

Diffraction record for TeBrCl3. The PXRD pattern is theoretical, not measured: it uses the GGA-PBE geometry in Alexandria and Cu Kα (weighted mean of Kα1 and Kα2).
Peak positions follow from Bragg's law for the DFT cell and can differ from measured ones.

Peak list (10 most intense, 2θ from 5° to 70°, most intense first)
| 2theta | I/Imax | hkl |
| --- | --- | --- |
| 17.87 | 100 | 1 0 2 |
| 33.41 | 46 | 2 1 3 |
| 24.34 | 45 | 2 0 1 |
| 13.46 | 45 | 1 0 1 |
| 38.20 | 37 | 1 2 4 |
| 38.01 | 35 | 3 0 2 |
| 23.55 | 23 | 1 0 3 |
| 16.46 | 19 | 1 1 0 |
| 21.39 | 13 | 1 1 2 |
| 27.10 | 13 | 2 0 2 |

Atomic structure:
```
data_TeBrCl3
_symmetry_space_group_name_H-M 'P 41'
_symmetry_Int_Tables_number 76
_cell_length_a 7.618
_cell_length_b 7.618
_cell_length_c 13.048
_cell_angle_alpha 90.00
_cell_angle_beta 90.00
_cell_angle_gamma 90.00
loop_
_symmetry_equiv_pos_as_xyz
'x,y,z'
'-y,x,z+1/4'
'-x,-y,z+1/2'
'y,-x,z+3/4'
loop_
_atom_site_label
_atom_site_fract_x
_atom_site_fract_y
_atom_site_fract_z
Te1 0.142 0.358 0.000
Br1 0.107 0.636 0.101
Cl1 0.009 0.827 0.637
Cl2 0.121 0.610 0.407
Cl3 0.319 0.506 0.859
```

Diffraction record for TeBr3Cl. The PXRD pattern is theoretical, not measured: it uses the GGA-PBE geometry in Alexandria and Cu Kα (weighted mean of Kα1 and Kα2).
Peak positions follow from Bragg's law for the DFT cell and can differ from measured ones.

Peak list (10 most intense, 2θ from 5° to 70°, most intense first)
| 2theta | I/Imax | hkl |
| --- | --- | --- |
| 13.04 | 100 | 1 0 1 |
| 32.45 | 75 | 2 1 3 |
| 17.47 | 52 | 1 0 2 |
| 23.49 | 46 | 2 0 1 |
| 37.21 | 34 | 2 1 4 |
| 26.26 | 34 | 2 0 2 |
| 17.22 | 32 | 1 1 1 |
| 36.71 | 23 | 3 0 2 |
| 52.01 | 20 | 4 1 3 |
| 26.09 | 20 | 2 1 1 |

Atomic structure:
```
data_TeBr3Cl
_symmetry_space_group_name_H-M 'P 41'
_symmetry_Int_Tables_number 76
_cell_length_a 7.904
_cell_length_b 7.904
_cell_length_c 13.246
_cell_angle_alpha 90.00
_cell_angle_beta 90.00
_cell_angle_gamma 90.00
loop_
_symmetry_equiv_pos_as_xyz
'x,y,z'
'-y,x,z+1/4'
'-x,-y,z+1/2'
'y,-x,z+3/4'
loop_
_atom_site_label
_atom_site_fract_x
_atom_site_fract_y
_atom_site_fract_z
Te1 0.137 0.361 0.000
Br1 0.006 0.827 0.650
Br2 0.133 0.605 0.401
Br3 0.332 0.509 0.855
Cl1 0.104 0.616 0.092
```

Diffraction record for Ti2BrCl4. The PXRD pattern is theoretical, not measured: it uses the GGA-PBE geometry in Alexandria and Cu Kα (weighted mean of Kα1 and Kα2).
Peak positions follow from Bragg's law for the DFT cell and can differ from measured ones.

Peak list (10 most intense, 2θ from 5° to 70°, most intense first)
| 2theta | I/Imax | hkl |
| --- | --- | --- |
| 21.99 | 100 | 1 1 -2 |
| 31.16 | 88 | 2 2 -1 |
| 37.31 | 82 | 3 1 1 |
| 30.46 | 59 | 1 1 -3 |
| 16.29 | 57 | 1 1 -1 |
| 45.13 | 55 | 1 3 1 |
| 30.62 | 45 | 3 1 -3 |
| 42.32 | 43 | 4 2 -3 |
| 25.65 | 42 | 2 0 -3 |
| 26.72 | 41 | 3 1 -1 |

Atomic structure:
```
data_Ti2BrCl4
_symmetry_space_group_name_H-M 'C 1 2 1'
_symmetry_Int_Tables_number 5
_cell_length_a 11.944
_cell_length_b 6.547
_cell_length_c 10.415
_cell_angle_alpha 90.00
_cell_angle_beta 124.95
_cell_angle_gamma 90.00
loop_
_symmetry_equiv_pos_as_xyz
'x,y,z'
'-x,y,-z'
'x+1/2,y+1/2,z'
'-x+1/2,y+1/2,-z'
loop_
_atom_site_label
_atom_site_fract_x
_atom_site_fract_y
_atom_site_fract_z
Ti1 0.075 0.000 0.353
Ti2 0.223 0.749 0.147
Br1 0.000 0.548 0.000
Br2 0.000 0.798 0.500
Cl1 0.038 0.322 0.693
Cl2 0.154 0.071 0.192
Cl3 0.170 0.913 0.897
Cl4 0.228 0.663 0.398
```

Diffraction record for TiBr2Cl8. The PXRD pattern is theoretical, not measured: it uses the GGA-PBE geometry in Alexandria and Cu Kα (weighted mean of Kα1 and Kα2).
Peak positions follow from Bragg's law for the DFT cell and can differ from measured ones.

Peak list (10 most intense, 2θ from 5° to 70°, most intense first)
| 2theta | I/Imax | hkl |
| --- | --- | --- |
| 18.46 | 100 | 1 1 1 |
| 17.66 | 88 | 1 0 -1 |
| 18.10 | 66 | 0 1 -1 |
| 29.74 | 49 | 2 1 0 |
| 13.29 | 45 | 0 1 1 |
| 24.58 | 42 | 1 1 2 |
| 25.37 | 39 | 1 0 -2 |
| 30.37 | 29 | 0 1 3 |
| 20.83 | 26 | 0 1 2 |
| 31.76 | 24 | 0 0 3 |

Atomic structure:
```
data_TiBr2Cl8
_symmetry_space_group_name_H-M 'P -1'
_symmetry_Int_Tables_number 2
_cell_length_a 6.243
_cell_length_b 7.869
_cell_length_c 8.865
_cell_angle_alpha 72.48
_cell_angle_beta 88.34
_cell_angle_gamma 82.00
loop_
_symmetry_equiv_pos_as_xyz
'x,y,z'
'-x,-y,-z'
loop_
_atom_site_label
_atom_site_fract_x
_atom_site_fract_y
_atom_site_fract_z
Ti1 0.000 0.000 0.000
Br1 0.273 0.466 0.337
Cl1 0.023 0.814 0.255
Cl2 0.049 0.757 0.906
Cl3 0.400 0.916 0.967
Cl4 0.480 0.204 0.411
```

Diffraction record for TiTl2BrCl5. The PXRD pattern is theoretical, not measured: it uses the GGA-PBE geometry in Alexandria and Cu Kα (weighted mean of Kα1 and Kα2).
Peak positions follow from Bragg's law for the DFT cell and can differ from measured ones.

Peak list (10 most intense, 2θ from 5° to 70°, most intense first)
| 2theta | I/Imax | hkl |
| --- | --- | --- |
| 30.61 | 100 | 2 0 2 |
| 24.79 | 49 | 1 1 2 |
| 35.79 | 43 | 2 2 0 |
| 25.10 | 39 | 2 0 0 |
| 50.84 | 30 | 2 2 4 |
| 17.24 | 26 | 0 0 2 |
| 61.12 | 26 | 4 2 2 |
| 17.68 | 25 | 1 1 0 |
| 34.88 | 23 | 0 0 4 |
| 44.02 | 22 | 3 1 2 |

Atomic structure:
```
data_TiTl2BrCl5
_symmetry_space_group_name_H-M 'I 4 m m'
_symmetry_Int_Tables_number 107
_symmetry_space_group_name_Hall 'I 4 -2'
_cell_length_a 7.096
_cell_length_b 7.096
_cell_length_c 10.290
_cell_angle_alpha 90.00
_cell_angle_beta 90.00
_cell_angle_gamma 90.00
loop_
_atom_site_label
_atom_site_fract_x
_atom_site_fract_y
_atom_site_fract_z
Ti1 0.000 0.000 0.000
Tl1 0.000 0.500 0.252
Br1 0.000 0.000 0.750
Cl1 0.000 0.000 0.229
Cl2 0.234 0.234 0.995
```

Diffraction record for Tl6Br5Cl2. The PXRD pattern is theoretical, not measured: it uses the GGA-PBE geometry in Alexandria and Cu Kα (weighted mean of Kα1 and Kα2).
Peak positions follow from Bragg's law for the DFT cell and can differ from measured ones.

Peak list (10 most intense, 2θ from 5° to 70°, most intense first)
| 2theta | I/Imax | hkl |
| --- | --- | --- |
| 23.16 | 100 | 1 2 1 |
| 29.16 | 84 | 2 3 1 |
| 26.98 | 82 | 3 3 0 |
| 21.46 | 51 | 3 1 0 |
| 38.24 | 47 | 0 0 2 |
| 28.71 | 46 | 3 1 1 |
| 35.70 | 46 | 3 5 0 |
| 47.42 | 37 | 3 3 2 |
| 22.94 | 36 | 0 4 0 |
| 40.42 | 36 | 1 6 1 |

Atomic structure:
```
data_Tl6Br5Cl2
_symmetry_space_group_name_H-M 'P b a m'
_symmetry_Int_Tables_number 55
_cell_length_a 12.891
_cell_length_b 15.510
_cell_length_c 4.707
_cell_angle_alpha 90.00
_cell_angle_beta 90.00
_cell_angle_gamma 90.00
loop_
_symmetry_equiv_pos_as_xyz
'x,y,z'
'-x,-y,-z'
'-x,-y,z'
'x,y,-z'
'x+1/2,-y+1/2,-z'
'-x+1/2,y+1/2,z'
'-x+1/2,y+1/2,-z'
'x+1/2,-y+1/2,z'
loop_
_atom_site_label
_atom_site_fract_x
_atom_site_fract_y
_atom_site_fract_z
Tl1 0.008 0.115 0.000
Tl2 0.172 0.376 0.000
Tl3 0.180 0.628 0.500
Br1 0.000 0.500 0.500
Br2 0.112 0.232 0.500
Br3 0.167 0.967 0.500
Cl1 0.140 0.733 0.000
```

Diffraction record for Tl7Br4Cl4. The PXRD pattern is theoretical, not measured: it uses the GGA-PBE geometry in Alexandria and Cu Kα (weighted mean of Kα1 and Kα2).
Peak positions follow from Bragg's law for the DFT cell and can differ from measured ones.

Peak list (10 most intense, 2θ from 5° to 70°, most intense first)
| 2theta | I/Imax | hkl |
| --- | --- | --- |
| 30.27 | 100 | 5 0 1 |
| 21.90 | 46 | 0 0 2 |
| 33.58 | 39 | 4 2 2 |
| 44.00 | 36 | 5 0 3 |
| 23.01 | 32 | 3 2 1 |
| 28.30 | 29 | 3 1 2 |
| 23.82 | 22 | 3 3 0 |
| 47.60 | 21 | 7 4 1 |
| 44.66 | 18 | 0 0 4 |
| 22.44 | 17 | 4 0 0 |

Atomic structure:
```
data_Tl7Br4Cl4
_symmetry_space_group_name_H-M 'I 4/m m m'
_symmetry_Int_Tables_number 139
_symmetry_space_group_name_Hall '-I 4 2'
_cell_length_a 15.846
_cell_length_b 15.846
_cell_length_c 8.117
_cell_angle_alpha 90.00
_cell_angle_beta 90.00
_cell_angle_gamma 90.00
loop_
_atom_site_label
_atom_site_fract_x
_atom_site_fract_y
_atom_site_fract_z
Tl1 0.000 0.000 0.249
Tl2 0.000 0.270 0.500
Tl3 0.000 0.377 0.000
Tl4 0.206 0.206 0.000
Br1 0.000 0.185 0.000
Br2 0.127 0.127 0.500
Cl1 0.143 0.357 0.250
```

Diffraction record for TlBrCl6. The PXRD pattern is theoretical, not measured: it uses the GGA-PBE geometry in Alexandria and Cu Kα (weighted mean of Kα1 and Kα2).
Peak positions follow from Bragg's law for the DFT cell and can differ from measured ones.

Peak list (10 most intense, 2θ from 5° to 70°, most intense first)
| 2theta | I/Imax | hkl |
| --- | --- | --- |
| 16.02 | 100 | 1 1 0 |
| 10.94 | 41 | 0 0 1 |
| 25.64 | 41 | 2 0 -2 |
| 22.65 | 38 | 1 1 -2 |
| 32.35 | 27 | 2 2 0 |
| 20.08 | 22 | 0 2 0 |
| 29.94 | 21 | 0 2 2 |
| 32.90 | 16 | 1 3 0 |
| 36.46 | 14 | 1 3 1 |
| 31.33 | 14 | 1 1 2 |

Atomic structure:
```
data_TlBrCl6
_symmetry_space_group_name_H-M 'C 1 2/m 1'
_symmetry_Int_Tables_number 12
_cell_length_a 7.794
_cell_length_b 8.846
_cell_length_c 8.888
_cell_angle_alpha 90.00
_cell_angle_beta 114.50
_cell_angle_gamma 90.00
loop_
_symmetry_equiv_pos_as_xyz
'x,y,z'
'-x,-y,-z'
'-x,y,-z'
'x,-y,z'
'x+1/2,y+1/2,z'
'-x+1/2,-y+1/2,-z'
'-x+1/2,y+1/2,-z'
'x+1/2,-y+1/2,z'
loop_
_atom_site_label
_atom_site_fract_x
_atom_site_fract_y
_atom_site_fract_z
Tl1 0.000 0.000 0.000
Br1 0.000 0.000 0.500
Cl1 0.224 0.000 0.780
Cl2 0.238 0.180 0.198
```

Diffraction record for Tl2VBrCl5. The PXRD pattern is theoretical, not measured: it uses the GGA-PBE geometry in Alexandria and Cu Kα (weighted mean of Kα1 and Kα2).
Peak positions follow from Bragg's law for the DFT cell and can differ from measured ones.

Peak list (10 most intense, 2θ from 5° to 70°, most intense first)
| 2theta | I/Imax | hkl |
| --- | --- | --- |
| 30.91 | 100 | 2 0 2 |
| 25.01 | 51 | 1 1 2 |
| 36.19 | 44 | 2 2 0 |
| 25.37 | 40 | 2 0 0 |
| 51.33 | 31 | 2 2 4 |
| 17.36 | 26 | 0 0 2 |
| 61.83 | 25 | 4 2 2 |
| 17.87 | 24 | 1 1 0 |
| 35.13 | 24 | 0 0 4 |
| 44.50 | 22 | 3 1 2 |

Atomic structure:
```
data_Tl2VBrCl5
_symmetry_space_group_name_H-M 'I 4 m m'
_symmetry_Int_Tables_number 107
_symmetry_space_group_name_Hall 'I 4 -2'
_cell_length_a 7.020
_cell_length_b 7.020
_cell_length_c 10.217
_cell_angle_alpha 90.00
_cell_angle_beta 90.00
_cell_angle_gamma 90.00
loop_
_atom_site_label
_atom_site_fract_x
_atom_site_fract_y
_atom_site_fract_z
Tl1 0.000 0.500 0.000
V1 0.000 0.000 0.252
Br1 0.000 0.000 0.005
Cl1 0.000 0.000 0.480
Cl2 0.233 0.233 0.249
```

Diffraction record for TlVBrCl2. The PXRD pattern is theoretical, not measured: it uses the GGA-PBE geometry in Alexandria and Cu Kα (weighted mean of Kα1 and Kα2).
Peak positions follow from Bragg's law for the DFT cell and can differ from measured ones.

Peak list (10 most intense, 2θ from 5° to 70°, most intense first)
| 2theta | I/Imax | hkl |
| --- | --- | --- |
| 30.77 | 100 | 2 0 2 |
| 25.87 | 73 | 2 0 0 |
| 24.59 | 54 | 1 1 2 |
| 36.90 | 52 | 2 2 0 |
| 50.41 | 42 | 2 2 4 |
| 33.11 | 41 | 0 0 4 |
| 42.49 | 40 | 2 0 4 |
| 44.85 | 31 | 3 1 2 |
| 16.38 | 31 | 0 0 2 |
| 40.62 | 22 | 2 2 2 |

Atomic structure:
```
data_TlVBrCl2
_symmetry_space_group_name_H-M 'I 4/m c m'
_symmetry_Int_Tables_number 140
_symmetry_space_group_name_Hall '-I 4 2c'
_cell_length_a 6.889
_cell_length_b 6.889
_cell_length_c 10.822
_cell_angle_alpha 90.00
_cell_angle_beta 90.00
_cell_angle_gamma 90.00
loop_
_atom_site_label
_atom_site_fract_x
_atom_site_fract_y
_atom_site_fract_z
Tl1 0.000 0.500 0.250
V1 0.000 0.000 0.000
Br1 0.000 0.000 0.250
Cl1 0.193 0.307 0.000
```

Diffraction record for ZrTl2Br5Cl. The PXRD pattern is theoretical, not measured: it uses the GGA-PBE geometry in Alexandria and Cu Kα (weighted mean of Kα1 and Kα2).
Peak positions follow from Bragg's law for the DFT cell and can differ from measured ones.

Peak list (10 most intense, 2θ from 5° to 70°, most intense first)
| 2theta | I/Imax | hkl |
| --- | --- | --- |
| 28.55 | 100 | 2 0 2 |
| 23.22 | 63 | 1 1 2 |
| 33.14 | 61 | 2 2 0 |
| 56.42 | 29 | 4 2 2 |
| 47.44 | 25 | 2 2 4 |
| 16.35 | 25 | 0 0 2 |
| 40.85 | 23 | 3 1 2 |
| 47.57 | 22 | 4 0 0 |
| 32.96 | 18 | 0 0 4 |
| 37.02 | 17 | 1 1 4 |

Atomic structure:
```
data_ZrTl2Br5Cl
_symmetry_space_group_name_H-M 'I 4 m m'
_symmetry_Int_Tables_number 107
_symmetry_space_group_name_Hall 'I 4 -2'
_cell_length_a 7.646
_cell_length_b 7.646
_cell_length_c 10.872
_cell_angle_alpha 90.00
_cell_angle_beta 90.00
_cell_angle_gamma 90.00
loop_
_atom_site_label
_atom_site_fract_x
_atom_site_fract_y
_atom_site_fract_z
Zr1 0.000 0.000 0.000
Tl1 0.000 0.500 0.197
Br1 0.000 0.000 0.244
Br2 0.246 0.246 0.006
Cl1 0.000 0.000 0.774
```